Simulated XRD peak list of Na2CeCd6 for Cu Ka, from a cell relaxed with GGA-PBE.
Intensities are scaled so that the largest is 1000.

Cell and atoms:
Cell lengths 8.928, 8.928, 3.190 Å; angles 90.00, 90.00, 120.00 degrees
Positions (direct):
Na1 0.333 0.667 0.000
Na2 0.667 0.333 0.000
Ce1 0.000 0.000 0.000
Cd1 0.000 0.336 0.500
Cd2 0.000 0.664 0.500
Cd3 0.336 0.000 0.500
Cd4 0.336 0.336 0.500
Cd5 0.664 0.000 0.500
Cd6 0.664 0.664 0.500

Principal peaks in the range 2θ from 15° to 90°, low angle first:
4.464 Å, intensity 130
3.190 Å, intensity 195
2.595 Å, intensity 753
2.577 Å, intensity 1000
2.005 Å, intensity 305
1.829 Å, intensity 258
1.491 Å, intensity 257
1.488 Å, intensity 172
1.356 Å, intensity 249
1.154 Å, intensity 109


Simulated XRD peak list of Ba5CdIr for Cu Ka, from a cell relaxed with GGA-PBE.
Intensities are scaled so that the largest is 1000.

Cell and atoms:
Cell lengths 8.217, 8.217, 11.111 Å; angles 98.84, 98.84, 107.06 degrees
Positions (direct):
Ba1 0.065 0.675 0.379
Ba2 0.102 0.898 0.750
Ba3 0.236 0.378 0.024
Ba4 0.325 0.935 0.121
Ba5 0.378 0.236 0.524
Ba6 0.622 0.764 0.476
Ba7 0.675 0.065 0.879
Ba8 0.764 0.622 0.976
Ba9 0.898 0.102 0.250
Ba10 0.935 0.325 0.621
Cd1 0.382 0.618 0.750
Cd2 0.618 0.382 0.250
Ir1 0.000 0.000 0.000
Ir2 0.000 0.000 0.500

Principal peaks in the range 2θ from 15° to 90°, low angle first:
4.911 Å, intensity 309
4.166 Å, intensity 362
3.614 Å, intensity 1000
3.541 Å, intensity 774
3.160 Å, intensity 867
3.003 Å, intensity 300
2.817 Å, intensity 391
2.575 Å, intensity 324
2.486 Å, intensity 371
1.941 Å, intensity 315


Simulated XRD peak list of Y4TlI5 for Cu Ka, from a cell relaxed with GGA-PBE.
Intensities are scaled so that the largest is 1000.

Cell and atoms:
Cell lengths 9.796, 9.796, 8.932 Å; angles 101.39, 101.39, 25.56 degrees
Positions (direct):
Y1 0.002 0.002 0.227
Y2 0.343 0.343 0.927
Y3 0.657 0.657 0.073
Y4 0.998 0.998 0.773
Tl1 0.500 0.500 0.000
I1 0.168 0.168 0.330
I2 0.172 0.172 0.824
I3 0.500 0.500 0.500
I4 0.828 0.828 0.176
I5 0.832 0.832 0.670

Principal peaks in the range 2θ from 15° to 90°, low angle first:
3.686 Å, intensity 82
3.576 Å, intensity 74
3.559 Å, intensity 145
3.112 Å, intensity 1000
2.228 Å, intensity 380
2.178 Å, intensity 234
2.167 Å, intensity 122
1.843 Å, intensity 68
1.779 Å, intensity 129
1.555 Å, intensity 78


Simulated XRD peak list of AcPtN for Cu Ka, from a cell relaxed with GGA-PBE.
Intensities are scaled so that the largest is 1000.

Cell and atoms:
Cell lengths 7.816, 7.816, 7.816 Å; angles 33.70, 33.70, 33.70 degrees
Positions (direct):
Ac1 0.103 0.103 0.103
Ac2 0.897 0.897 0.897
Pt1 0.311 0.311 0.311
Pt2 0.689 0.689 0.689
N1 0.217 0.217 0.217
N2 0.783 0.783 0.783

Principal peaks in the range 2θ from 15° to 90°, low angle first:
3.864 Å, intensity 152
3.199 Å, intensity 242
2.934 Å, intensity 1000
2.266 Å, intensity 594
1.925 Å, intensity 278
1.793 Å, intensity 249
1.665 Å, intensity 186
1.467 Å, intensity 117
1.406 Å, intensity 228
1.231 Å, intensity 134


Simulated XRD peak list of Sm2Tm12Th for Cu Ka, from a cell relaxed with GGA-PBE.
Intensities are scaled so that the largest is 1000.

Cell and atoms:
Cell lengths 3.525, 5.548, 23.902 Å; angles 90.00, 94.22, 90.00 degrees
Positions (direct):
Sm1 0.142 0.000 0.281
Sm2 0.858 0.000 0.719
Tm1 0.033 0.500 0.067
Tm2 0.068 0.000 0.135
Tm3 0.223 0.500 0.445
Tm4 0.286 0.000 0.573
Tm5 0.333 0.500 0.670
Tm6 0.404 0.500 0.808
Tm7 0.596 0.500 0.192
Tm8 0.667 0.500 0.330
Tm9 0.714 0.000 0.427
Tm10 0.777 0.500 0.555
Tm11 0.932 0.000 0.865
Tm12 0.967 0.500 0.933
Th1 0.500 0.000 0.000

Principal peaks in the range 2θ from 15° to 90°, low angle first:
2.925 Å, intensity 267
2.902 Å, intensity 659
2.840 Å, intensity 1000
2.774 Å, intensity 775
2.735 Å, intensity 409
2.625 Å, intensity 415
2.594 Å, intensity 534
1.947 Å, intensity 309
1.763 Å, intensity 206
1.488 Å, intensity 237


Simulated XRD peak list of Pm4Sm3Ho5 for Cu Ka, from a cell relaxed with GGA-PBE.
Intensities are scaled so that the largest is 1000.

Cell and atoms:
Cell lengths 8.583, 8.583, 9.355 Å; angles 114.45, 114.45, 40.59 degrees
Positions (direct):
Pm1 0.084 0.084 0.445
Pm2 0.212 0.212 0.881
Pm3 0.788 0.788 0.119
Pm4 0.916 0.916 0.555
Sm1 0.210 0.210 0.233
Sm2 0.500 0.500 0.000
Sm3 0.790 0.790 0.767
Ho1 0.000 0.000 0.000
Ho2 0.328 0.328 0.613
Ho3 0.428 0.428 0.302
Ho4 0.572 0.572 0.698
Ho5 0.672 0.672 0.387

Principal peaks in the range 2θ from 15° to 90°, low angle first:
3.646 Å, intensity 236
3.113 Å, intensity 264
3.052 Å, intensity 330
2.977 Å, intensity 1000
2.887 Å, intensity 392
2.820 Å, intensity 557
2.753 Å, intensity 701
2.736 Å, intensity 295
2.683 Å, intensity 637
2.073 Å, intensity 307


Simulated XRD peak list of LiAgPd for Cu Ka, from a cell relaxed with GGA-PBE.
Intensities are scaled so that the largest is 1000.

Cell and atoms:
Cell lengths 4.107, 10.869, 4.061 Å; angles 90.00, 90.00, 90.00 degrees
Positions (direct):
Li1 0.000 0.000 0.000
Li2 0.000 0.500 0.500
Li3 0.500 0.000 0.500
Li4 0.500 0.500 0.000
Ag1 0.000 0.159 0.500
Ag2 0.000 0.841 0.500
Ag3 0.500 0.341 0.500
Ag4 0.500 0.659 0.500
Pd1 0.000 0.346 0.000
Pd2 0.000 0.654 0.000
Pd3 0.500 0.154 0.000
Pd4 0.500 0.846 0.000

Principal peaks in the range 2θ from 15° to 90°, low angle first:
5.435 Å, intensity 313
2.791 Å, intensity 513
2.717 Å, intensity 194
2.258 Å, intensity 1000
2.054 Å, intensity 194
2.031 Å, intensity 187
1.444 Å, intensity 120
1.368 Å, intensity 119
1.221 Å, intensity 131
1.212 Å, intensity 128


Simulated XRD peak list of La2Tb5Tl4 for Cu Ka, from a cell relaxed with GGA-PBE.
Intensities are scaled so that the largest is 1000.

Cell and atoms:
Cell lengths 9.104, 9.104, 9.104 Å; angles 147.65, 104.80, 84.25 degrees
Positions (direct):
La1 0.165 0.165 0.000
La2 0.835 0.835 0.000
Tb1 0.000 0.500 0.500
Tb2 0.128 0.782 0.346
Tb3 0.436 0.782 0.654
Tb4 0.564 0.218 0.346
Tb5 0.872 0.218 0.654
Tl1 0.224 0.000 0.224
Tl2 0.393 0.393 0.000
Tl3 0.607 0.607 0.000
Tl4 0.776 0.000 0.776

Principal peaks in the range 2θ from 15° to 90°, low angle first:
3.610 Å, intensity 1000
2.991 Å, intensity 486
2.883 Å, intensity 647
2.735 Å, intensity 770
2.725 Å, intensity 612
2.569 Å, intensity 276
2.536 Å, intensity 607
2.384 Å, intensity 489
2.182 Å, intensity 231
1.905 Å, intensity 237